1.
Diffraction record for CuB6Rh12. The powder X-ray diffraction pattern is simulated, not measured: it uses the GGA-PBE geometry in Alexandria and Cu Kα (λ = 1.5418 Å).
No peak broadening, texture or thermal motion is included.

Crystal structure
Unit cell a=7.635 b=7.635 c=7.635 alpha=90.00 beta=90.00 gamma=90.00
Space group Im-3 (No. 204)
Symmetry-distinct sites (fractional):
Cu 0.000 0.000 0.000 x2
B 0.000 0.380 0.500 x12
Rh 0.000 0.182 0.308 x24

Principal peaks in the range 10° ≤ 2θ ≤ 80°, by intensity:
(hkl), 2θ/deg, d (Å), I/Imax
3 1 0, 37.2, 2.414, 1000
3 2 1, 44.4, 2.041, 859
5 0 3, 72.1, 1.309, 410
2 2 2, 40.9, 2.204, 394
5 3 2, 77.0, 1.239, 333
2 2 0, 33.2, 2.699, 194
6 0 0, 74.6, 1.273, 122
5 1 0, 62.0, 1.497, 100

2.
Diffraction record for CaUBeO5. The powder X-ray diffraction pattern is simulated, not measured: it uses the GGA-PBE geometry in Alexandria and Cu Kα (λ = 1.5418 Å).
No peak broadening, texture or thermal motion is included.

Crystal structure
Unit cell a=6.740 b=8.924 c=7.760 alpha=90.00 beta=113.72 gamma=90.00
Space group C2/c (No. 15)
Symmetry-distinct sites (fractional):
Ca 0.000 0.151 0.250 x4
U 0.000 0.500 0.000 x4
Be 0.000 0.187 0.750 x4
O 0.000 0.404 0.250 x4
O 0.108 0.296 0.633 x8
O 0.180 0.067 0.901 x8

Principal peaks in the range 10° ≤ 2θ ≤ 80°, by intensity:
(hkl), 2θ/deg, d (Å), I/Imax
1 1 0, 17.5, 5.076, 1000
1 1 -2, 25.4, 3.506, 715
0 2 0, 19.9, 4.462, 374
1 1 2, 35.3, 2.540, 339
0 2 2, 32.2, 2.779, 338
1 3 0, 33.4, 2.680, 296
2 0 0, 28.9, 3.085, 278
3 1 -2, 42.2, 2.142, 166

3.
Diffraction record for NaZnAsO4. The powder X-ray diffraction pattern is simulated, not measured: it uses the GGA-PBE geometry in Alexandria and Cu Kα (λ = 1.5418 Å).
No peak broadening, texture or thermal motion is included.

Crystal structure
Unit cell a=9.1519 b=9.1519 c=8.4361 alpha=90.00 beta=90.00 gamma=120.00
Space group P6_3 (No. 173)
Symmetry-distinct sites (fractional):
Na 0.0000 0.0000 0.0000 x2
Na 0.3333 0.6667 0.0054 x2
Na 0.3333 0.6667 0.5861 x2
Zn 0.0150 0.6778 0.7084 x6
As 0.0274 0.6833 0.3175 x6
O 0.0978 0.2252 0.8104 x6
O 0.0996 0.5319 0.7933 x6
O 0.1289 0.7327 0.4975 x6
O 0.1848 0.7711 0.1758 x6

Principal peaks in the range 10° ≤ 2θ ≤ 80°, by intensity:
(hkl), 2θ/deg, d (Å), I/Imax
3 0 0, 33.9, 2.642, 1000
1 1 2, 28.8, 3.101, 873
1 1 1, 22.1, 4.022, 796
1 1 3, 37.5, 2.396, 749
0 0 2, 21.1, 4.218, 744
1 1 0, 19.4, 4.576, 681
2 2 3, 51.5, 1.775, 355
1 1 5, 58.3, 1.583, 352